Structure and simulated powder diffraction line list of Ba2MgAg2O4 (a GGA-PBE-relaxed structure; copper Kα).

Structure:
```
data_Ba2MgAg2O4
_cell_length_a 3.8132
_cell_length_b 3.6021
_cell_length_c 12.9210
_cell_angle_alpha 90.00
_cell_angle_beta 92.65
_cell_angle_gamma 90.00
_space_group_name_H-M_alt 'P 1 m 1'
_space_group_IT_number 6
loop_
_space_group_symop_operation_xyz
'x,y,z'
'x,-y,z'
loop_
_atom_site_label
_atom_site_fract_x
_atom_site_fract_y
_atom_site_fract_z
_atom_site_occupancy
Ba1 0.0000 0.0000 0.0000 1
Ba2 0.0552 0.5000 0.4019 1
Mg1 0.5278 0.5000 0.2080 1
Ag1 0.4954 0.5000 0.7805 1
Ag2 0.5652 0.0000 0.6252 1
O1 0.0176 0.5000 0.1409 1
O2 0.4780 0.0000 0.8775 1
O3 0.5432 0.0000 0.2965 1
O4 0.5781 0.5000 0.5339 1
```

Main lines, most intense first (2θ from 10° to 80°):
2θ 32.42, I = 100, (0 1 3)
2θ 34.76, I = 99, (0 0 5)
2θ 27.74, I = 74, (1 0 2)
2θ 28.38, I = 66, (0 1 2)
2θ 43.84, I = 58, (1 1 -4)
2θ 45.30, I = 52, (1 1 4)
2θ 24.05, I = 47, (1 0 -1)
2θ 35.20, I = 41, (1 1 1)
2θ 24.67, I = 38, (1 0 1)
2θ 26.62, I = 33, (1 0 -2)
2θ 30.62, I = 32, (1 0 -3)
2θ 25.68, I = 28, (0 1 1)